For KRe4O8F13, a structure optimized by DFT (PBE) gives the calculated X-ray diffraction stick pattern in this record (copper Kα).

Crystal structure
a = 14.563 Å, b = 14.563 Å, c = 5.625 Å
α = 98.60°, β = 98.60°, γ = 21.42°
Element x y z (fractional)
K1 0.000 0.000 0.000
Re1 0.170 0.232 0.112
Re2 0.468 0.383 0.428
Re3 0.617 0.532 0.572
Re4 0.768 0.830 0.888
O1 0.012 0.670 0.823
O2 0.317 0.420 0.345
O3 0.330 0.988 0.177
O4 0.515 0.127 0.807
O5 0.580 0.683 0.655
O6 0.635 0.211 0.684
O7 0.789 0.365 0.316
O8 0.873 0.485 0.193
F1 0.027 0.493 0.008
F2 0.128 0.235 0.780
F3 0.201 0.696 0.595
F4 0.263 0.229 0.385
F5 0.304 0.799 0.405
F6 0.341 0.565 0.165
F7 0.435 0.659 0.835
F8 0.507 0.973 0.992
F9 0.654 0.346 0.500
F10 0.747 0.101 0.225
F11 0.765 0.872 0.220
F12 0.771 0.737 0.615
F13 0.899 0.253 0.775

Principal peaks in the range 10 to 90 degrees two-theta, in order of rising 2θ:
| d [Å] | two_theta | Rel. int. |
| --- | --- | --- |
| 5.465 | 16.2 | 19 |
| 5.317 | 16.7 | 9 |
| 4.925 | 18.0 | 14 |
| 4.695 | 18.9 | 17 |
| 4.079 | 21.8 | 19 |
| 3.904 | 22.8 | 100 |
| 3.536 | 25.2 | 12 |
| 2.960 | 30.2 | 7 |
| 2.660 | 33.7 | 10 |
| 2.256 | 40.0 | 7 |
| 2.249 | 40.1 | 8 |
| 1.771 | 51.6 | 7 |